Diffraction record for Rb3VTe2O9. The powder diffractogram is computed, not measured: it uses the PBE+U geometry in Alexandria and CuKα.
Neutral-atom scattering factors, no anomalous dispersion.

Crystal structure
a = 5.7701 Å, b = 5.7701 Å, c = 7.0799 Å
α = 90.00°, β = 90.00°, γ = 120.00°
Space group P-3m1 (No. 164)
Asymmetric unit:
Rb1 0.0000 0.0000 0.0000 (multiplicity 1)
Rb2 0.3333 0.6667 0.6664 (multiplicity 2)
V1 0.0000 0.0000 0.5000 (multiplicity 1)
Te1 0.3333 0.6667 0.1745 (multiplicity 2)
O1 0.0000 0.5000 0.0000 (multiplicity 3)
O2 0.1612 0.3224 0.3419 (multiplicity 6)

The 12 most intense peaks (2θ = 10–90°), sorted by position:
(hkl)	2θ/deg	d/Å	I_rel
1 0 0	17.7	4.997	3
1 0 1	21.8	4.083	7
1 1 0	31.0	2.887	100
0 0 3	38.2	2.357	3
2 0 2	44.4	2.041	34
1 2 1	50.0	1.825	2
3 0 0	55.1	1.667	39
2 2 0	64.6	1.443	20
3 1 2	73.3	1.291	17
0 4 2	81.7	1.178	5
1 1 6	89.8	1.092	5
4 1 0	89.9	1.091	16